No. 1
Cs2LiBi: simulated XRD peak list (Cu Kα), based on the PBE geometry in Alexandria.

Cell and atoms:
a = 6.6920 Å, b = 6.6920 Å, c = 5.3603 Å
α = 90.22°, β = 90.22°, γ = 59.95°
Atoms (fractional coordinates):
Cs 0.0000 0.0000 0.0000
Cs 0.6670 0.6670 0.4685
Li 0.3334 0.3334 0.7361
Bi 0.3335 0.3335 0.2360

Most intense lines, 10° ≤ 2θ ≤ 90°, low angle first:
2θ (°)	intensity
16.54	23.1
22.58	77.3
22.64	37.9
26.65	100.0
35.26	24.7
36.91	24.3
44.68	25.4
47.05	21.4


No. 2
Cs3LiBi: simulated XRD peak list (Cu Kα), based on the PBE geometry in Alexandria.

Cell and atoms:
a = 7.3274 Å, b = 7.3274 Å, c = 11.8613 Å
α = 90.00°, β = 90.00°, γ = 127.38°
Atoms (fractional coordinates):
Cs 0.0821 0.9179 0.7500
Cs 0.1929 0.8071 0.0702
Cs 0.1929 0.8071 0.4298
Cs 0.8071 0.1929 0.5702
Cs 0.8071 0.1929 0.9298
Cs 0.9179 0.0821 0.2500
Li 0.4432 0.5568 0.7500
Li 0.5568 0.4432 0.2500
Bi 0.5000 0.5000 0.0000
Bi 0.5000 0.5000 0.5000

Most intense lines, 10° ≤ 2θ ≤ 90°, low angle first:
2θ (°)	intensity
14.94	45.2
21.39	95.3
24.52	100.0
26.31	33.7
27.26	74.8
27.46	72.4
28.83	87.4
48.39	37.8


No. 3
CsLi2Bi2O6: simulated XRD peak list (Cu Kα), based on the PBE geometry in Alexandria.

Cell and atoms:
a = 6.1123 Å, b = 6.2623 Å, c = 6.5548 Å
α = 113.81°, β = 90.67°, γ = 118.52°
Atoms (fractional coordinates):
Cs 0.0000 0.0000 0.0000
Li 0.3225 0.7009 0.4547
Li 0.6775 0.2991 0.5453
Bi 0.3275 0.6557 0.9780
Bi 0.6725 0.3443 0.0220
O 0.0742 0.6651 0.2264
O 0.3924 0.8868 0.7800
O 0.4823 0.5589 0.2167
O 0.5177 0.4411 0.7833
O 0.6076 0.1132 0.2200
O 0.9258 0.3349 0.7736

Most intense lines, 10° ≤ 2θ ≤ 90°, low angle first:
2θ (°)	intensity
15.28	100.0
28.33	18.0
28.66	19.9
29.22	19.4
31.10	20.5
31.30	16.4
33.04	16.9
33.92	16.5


No. 4
CsLiBiTe2: simulated XRD peak list (Cu Kα), based on the PBE geometry in Alexandria.

Cell and atoms:
a = 9.0465 Å, b = 9.0465 Å, c = 7.3990 Å
α = 90.00°, β = 90.00°, γ = 139.21°
Atoms (fractional coordinates):
Cs 0.2500 0.7500 0.7567
Cs 0.7500 0.2500 0.2433
Li 0.2500 0.2500 0.5000
Li 0.7500 0.7500 0.5000
Bi 0.0000 0.0000 0.0000
Bi 0.5000 0.5000 0.0000
Te 0.1144 0.8856 0.3134
Te 0.3856 0.6144 0.3134
Te 0.6144 0.3856 0.6866
Te 0.8856 0.1144 0.6866

Most intense lines, 10° ≤ 2θ ≤ 90°, low angle first:
2θ (°)	intensity
15.90	41.5
24.19	43.4
24.33	100.0
26.28	40.1
28.31	55.4
32.32	24.7
37.57	31.7
39.01	26.7


No. 5
Cs3MgBi2: simulated XRD peak list (Cu Kα), based on the PBE geometry in Alexandria.

Cell and atoms:
a = 10.4468 Å, b = 10.4468 Å, c = 10.4468 Å
α = 125.49°, β = 72.11°, γ = 136.61°
Atoms (fractional coordinates):
Cs 0.1763 0.6949 0.8712
Cs 0.2500 0.2500 0.0000
Cs 0.3237 0.1949 0.5185
Cs 0.6763 0.8051 0.4815
Cs 0.7500 0.7500 0.0000
Cs 0.8237 0.3051 0.1288
Mg 0.2500 0.7500 0.5000
Mg 0.7500 0.2500 0.5000
Bi 0.0923 0.3165 0.4089
Bi 0.4077 0.8165 0.2242
Bi 0.5923 0.1835 0.7758
Bi 0.9077 0.6835 0.5911

Most intense lines, 10° ≤ 2θ ≤ 90°, low angle first:
2θ (°)	intensity
23.03	33.3
25.42	36.4
25.78	100.0
27.04	37.2
28.48	42.2
29.73	53.6
31.39	30.2
45.56	30.5


No. 6
CsMg6Bi4: simulated XRD peak list (Cu Kα), based on the PBE geometry in Alexandria.

Cell and atoms:
a = 15.2969 Å, b = 15.2969 Å, c = 15.2969 Å
α = 161.20°, β = 161.20°, γ = 26.72°
Atoms (fractional coordinates):
Cs 0.0000 0.0000 0.0000
Mg 0.1310 0.6310 0.5000
Mg 0.2500 0.7500 0.5000
Mg 0.3690 0.8690 0.5000
Mg 0.6310 0.1310 0.5000
Mg 0.7500 0.2500 0.5000
Mg 0.8690 0.3690 0.5000
Bi 0.1937 0.1937 0.0000
Bi 0.4227 0.4227 0.0000
Bi 0.5773 0.5773 0.0000
Bi 0.8063 0.8063 0.0000

Most intense lines, 10° ≤ 2θ ≤ 90°, low angle first:
2θ (°)	intensity
19.89	15.1
23.24	100.0
25.20	36.4
35.02	25.8
35.94	28.7
39.59	15.5
43.24	40.3
43.47	13.5